[1]
# Y4Er3Th
Simulated powder diffractogram, Cu Kα X-rays. Input: a structure optimized by DFT (GGA-PBE).
Peak positions follow from Bragg's law for the DFT cell and can differ from measured ones.

The 12 most intense peaks (2θ = 15–90°), in order of rising 2θ:
- 2θ 18.67, rel. 11, (1 3 0)
- 2θ 20.15, rel. 22, (0 6 0)
- 2θ 26.98, rel. 13, (0 8 0)
- 2θ 28.44, rel. 14, (1 7 0)
- 2θ 31.56, rel. 100, (1 3 1)
- 2θ 31.71, rel. 38, (2 0 0)
- 2θ 32.49, rel. 22, (0 6 1)
- 2θ 34.42, rel. 38, (1 9 0)
- 2θ 46.04, rel. 16, (2 6 1)
- 2θ 56.39, rel. 19, (3 3 1)
- 2θ 61.00, rel. 17, (1 15 1)
- 2θ 62.00, rel. 11, (2 0 2)

Crystal structure
```
data_Y4Er3Th
_chemical_formula_sum 'Y8 Er6 Th2'
_cell_length_a 5.6432
_cell_length_b 26.4350
_cell_length_c 3.5316
_cell_angle_alpha 90.00
_cell_angle_beta 90.00
_cell_angle_gamma 90.00
_symmetry_space_group_name_H-M 'C m m m'
_symmetry_Int_Tables_number 65
_symmetry_space_group_name_Hall '-C 2 2'
loop_
_atom_site_label
_atom_site_type_symbol
_atom_site_fract_x
_atom_site_fract_y
_atom_site_fract_z
_atom_site_occupancy
Y1 Y 0.0000 0.1044 0.0000 1
Y2 Y 0.0000 0.2232 0.0000 1
Er1 Er 0.0000 0.3428 0.5000 1
Er2 Er 0.0000 0.5000 0.0000 1
Th1 Th 0.0000 0.0000 0.5000 1
```

[2]
# YEr7Th3
Simulated powder diffractogram, Cu Kα X-rays. Input: a structure optimized by DFT (GGA-PBE).
Peak positions follow from Bragg's law for the DFT cell and can differ from measured ones.

The 12 most intense peaks (2θ = 15–90°), in order of rising 2θ:
- 2θ 18.77, rel. 7, (0 0 2)
- 2θ 31.55, rel. 32, (1 1 2)
- 2θ 32.13, rel. 100, (2 1 -2)
- 2θ 32.69, rel. 36, (0 2 0)
- 2θ 32.79, rel. 41, (0 1 3)
- 2θ 35.71, rel. 8, (1 0 -4)
- 2θ 46.52, rel. 20, (2 2 1)
- 2θ 53.17, rel. 8, (4 0 -2)
- 2θ 57.98, rel. 14, (2 3 -2)
- 2θ 58.14, rel. 19, (2 1 4)
- 2θ 58.41, rel. 8, (0 3 3)
- 2θ 63.86, rel. 20, (4 2 -2)

Crystal structure
```
data_YEr7Th3
_chemical_formula_sum 'Y1 Er7 Th3'
_cell_length_a 6.8903
_cell_length_b 5.4790
_cell_length_c 10.0589
_cell_angle_alpha 90.00
_cell_angle_beta 110.01
_cell_angle_gamma 90.00
_symmetry_space_group_name_H-M 'P 1 2/m 1'
_symmetry_Int_Tables_number 10
_symmetry_space_group_name_Hall '-P 2y'
loop_
_atom_site_label
_atom_site_type_symbol
_atom_site_fract_x
_atom_site_fract_y
_atom_site_fract_z
_atom_site_occupancy
Y1 Y 0.0000 0.0000 0.0000 1
Er1 Er 0.0867 0.0000 0.6703 1
Er2 Er 0.1760 0.5000 0.8611 1
Er3 Er 0.3612 0.5000 0.2075 1
Er4 Er 0.5000 0.0000 0.5000 1
Th1 Th 0.2221 0.5000 0.5004 1
Th2 Th 0.5000 0.0000 0.0000 1
```

[3]
# Y12Er2Th5
Simulated powder diffractogram, Cu Kα X-rays. Input: a structure optimized by DFT (GGA-PBE).
Peak positions follow from Bragg's law for the DFT cell and can differ from measured ones.

The 12 most intense peaks (2θ = 15–90°), in order of rising 2θ:
- 2θ 17.60, rel. 26, (2 0 -2)
- 2θ 27.87, rel. 27, (4 0 -3)
- 2θ 28.47, rel. 21, (0 0 3)
- 2θ 30.21, rel. 92, (2 2 1)
- 2θ 30.88, rel. 21, (2 2 -2)
- 2θ 31.07, rel. 65, (6 0 0)
- 2θ 31.69, rel. 100, (4 2 -1)
- 2θ 32.70, rel. 24, (5 1 -3)
- 2θ 32.99, rel. 17, (6 0 -3)
- 2θ 34.03, rel. 28, (2 0 3)
- 2θ 51.69, rel. 20, (0 4 0)
- 2θ 53.80, rel. 21, (8 2 1)

Crystal structure
```
data_Y12Er2Th5
_chemical_formula_sum 'Y24 Er4 Th10'
_cell_length_a 18.7700
_cell_length_b 7.0745
_cell_length_c 10.2198
_cell_angle_alpha 90.00
_cell_angle_beta 113.05
_cell_angle_gamma 90.00
_symmetry_space_group_name_H-M 'C 1 2/m 1'
_symmetry_Int_Tables_number 12
_symmetry_space_group_name_Hall '-C 2y'
loop_
_atom_site_label
_atom_site_type_symbol
_atom_site_fract_x
_atom_site_fract_y
_atom_site_fract_z
_atom_site_occupancy
Y1 Y 0.0044 0.0000 0.3222 1
Y2 Y 0.0272 0.5000 0.2363 1
Y3 Y 0.1582 0.2538 0.8638 1
Y4 Y 0.1670 0.2515 0.5182 1
Er1 Er 0.0000 0.2148 0.0000 1
Th1 Th 0.0000 0.5000 0.5000 1
Th2 Th 0.1761 0.0000 0.2074 1
Th3 Th 0.1846 0.5000 0.1804 1
```

[4]
# YEr12Th5
Simulated powder diffractogram, Cu Kα X-rays. Input: a structure optimized by DFT (GGA-PBE).
Peak positions follow from Bragg's law for the DFT cell and can differ from measured ones.

The 12 most intense peaks (2θ = 15–90°), in order of rising 2θ:
- 2θ 30.95, rel. 99, (6 0 0)
- 2θ 31.05, rel. 98, (3 3 -1)
- 2θ 35.95, rel. 100, (3 3 1)
- 2θ 51.69, rel. 36, (6 0 2)
- 2θ 51.74, rel. 24, (3 3 -3)
- 2θ 51.92, rel. 12, (0 6 0)
- 2θ 61.50, rel. 50, (9 3 1)
- 2θ 61.68, rel. 28, (6 6 0)
- 2θ 64.49, rel. 12, (12 0 0)
- 2θ 64.74, rel. 12, (6 6 -2)
- 2θ 84.41, rel. 12, (15 3 -1)
- 2θ 84.58, rel. 12, (12 6 -2)

Crystal structure
```
data_YEr12Th5
_chemical_formula_sum 'Y2 Er24 Th10'
_cell_length_a 18.3904
_cell_length_b 10.5666
_cell_length_c 6.1270
_cell_angle_alpha 90.00
_cell_angle_beta 109.43
_cell_angle_gamma 90.00
_symmetry_space_group_name_H-M 'C 1 2/m 1'
_symmetry_Int_Tables_number 12
_symmetry_space_group_name_Hall '-C 2y'
loop_
_atom_site_label
_atom_site_type_symbol
_atom_site_fract_x
_atom_site_fract_y
_atom_site_fract_z
_atom_site_occupancy
Y1 Y 0.0000 0.0000 0.0000 1
Er1 Er 0.0000 0.1662 0.5000 1
Er2 Er 0.0000 0.3366 0.0000 1
Er3 Er 0.1665 0.3340 0.5003 1
Er4 Er 0.1676 0.1659 0.9979 1
Th1 Th 0.0000 0.5000 0.5000 1
Th2 Th 0.1674 0.0000 0.5060 1
Th3 Th 0.1667 0.5000 0.0015 1
```